Starting from a DFT-relaxed cell (GGA-PBE, Alexandria), the X-ray diffraction stick pattern of Nd6SmHo2Mg was computed for Cu Kα (weighted mean of Kα1 and Kα2).
Intensities are scaled so that the largest is 100.

Peak list (10 most intense, 2θ from 10° to 80°, in order of rising 2θ)
d = 3.312 Å, 2θ = 26.92°, rel. 27.3
d = 3.242 Å, 2θ = 27.51°, rel. 26.6
d = 3.008 Å, 2θ = 29.70°, rel. 53.7
d = 2.960 Å, 2θ = 30.19°, rel. 100.0
d = 2.880 Å, 2θ = 31.05°, rel. 32.2
d = 2.858 Å, 2θ = 31.30°, rel. 45.7
d = 2.837 Å, 2θ = 31.54°, rel. 59.9
d = 2.815 Å, 2θ = 31.79°, rel. 58.3
d = 2.593 Å, 2θ = 34.59°, rel. 30.6
d = 1.766 Å, 2θ = 51.78°, rel. 20.1

Atomic structure:
Cell: 8.6354 8.6354 9.5013 Å, 96.36 96.36 105.88°
Fractional positions:
Nd1 0.0372 0.4659 0.6713
Nd2 0.0638 0.8273 0.9041
Nd3 0.1727 0.9362 0.5959
Nd4 0.2412 0.5778 0.0752
Nd5 0.4222 0.7588 0.4248
Nd6 0.4659 0.0372 0.1713
Nd7 0.5341 0.9628 0.8287
Nd8 0.5778 0.2412 0.5752
Nd9 0.7588 0.4222 0.9248
Nd10 0.8273 0.0638 0.4041
Nd11 0.9362 0.1727 0.0959
Nd12 0.9628 0.5341 0.3287
Sm1 0.4352 0.5648 0.7500
Sm2 0.5648 0.4352 0.2500
Ho1 0.2316 0.3005 0.4054
Ho2 0.3005 0.2316 0.9054
Ho3 0.6995 0.7684 0.0946
Ho4 0.7684 0.6995 0.5946
Mg1 0.0977 0.9023 0.2500
Mg2 0.9023 0.0977 0.7500